No. 1
The following is a theoretical powder XRD pattern of Tb8Dy6Tl. It was derived from a DFT-relaxed cell (GGA-PBE, Alexandria), using Cu Kα.
Peak positions follow from Bragg's law for the DFT cell and can differ from measured ones.

Principal peaks in the range 15° ≤ 2θ ≤ 90°, by angle:
2θ (°)	I (rel.)
26.1	350
28.8	175
32.7	581
33.0	1000
33.9	748
48.1	146
52.1	219
53.6	188

Atomic structure:
```
Tb8Dy6Tl
1.0
9.1563 0.0000 0.0000
-4.5781 7.9296 0.0000
0.0000 0.0000 6.7277
Tb Dy Tl
8 6 1
Cartesian
-3.0749 5.4788 0.7933
1.3708 2.5272 0.7933
2.8741 0.0764 5.9344
0.0000 5.2864 5.5392
4.5781 2.6432 1.1885
1.7041 7.8531 0.7933
3.2073 5.4023 5.9344
7.6530 2.4508 5.9344
-1.1106 3.1570 2.6350
-1.2888 7.3129 2.6350
2.1788 2.5403 4.0927
2.3994 5.3892 2.6350
5.8669 0.6167 4.0927
5.6887 4.7725 4.0927
0.0000 0.0000 3.3639
```

No. 2
The following is a theoretical powder XRD pattern of CeSmY4. It was derived from a DFT-relaxed cell (GGA-PBE, Alexandria), using Cu Kα.
Peak positions follow from Bragg's law for the DFT cell and can differ from measured ones.

Principal peaks in the range 15° ≤ 2θ ≤ 90°, by angle:
2θ (°)	I (rel.)
28.8	498
31.1	467
31.8	1000
33.5	864
40.2	205
50.6	234
54.7	212
60.6	270

Atomic structure:
```
CeSmY4
1.0
8.6796 -1.7992 0.0000
8.6796 1.7992 0.0000
-0.7516 0.0000 6.2092
Ce Sm Y
1 1 4
Cartesian
0.0000 0.0000 0.0000
8.3038 0.0000 3.1046
2.6104 0.0000 2.3967
5.7169 0.0000 0.6813
10.8906 0.0000 5.5279
13.9972 0.0000 3.8125
```